1.
DySi3Tc5: computed powder XRD pattern (Cu Kα (weighted mean of Kα1 and Kα2)), based on DFT lattice parameters and positions (GGA-PBE).

Most intense lines, 10° ≤ 2θ ≤ 90°, sorted by position:
2θ (°)	Rel. int.
31.5	59
32.5	52
33.3	56
38.9	100
42.6	65
42.7	69

Cell and atoms:
```
data_DySi3Tc5
_chemical_formula_sum 'Dy2 Si6 Tc10'
_space_group_name_H-M_alt 'P 1'
_space_group_IT_number 1
_cell_length_a 6.4658
_cell_length_b 6.4658
_cell_length_c 11.3554
_cell_angle_alpha 90.00
_cell_angle_beta 90.00
_cell_angle_gamma 141.66
loop_
_space_group_symop_operation_xyz
'x,y,z'
loop_
_atom_site_label
_atom_site_fract_x
_atom_site_fract_y
_atom_site_fract_z
_atom_site_occupancy
Dy1 0.1499 0.8501 0.7500 1
Dy2 0.8501 0.1499 0.2500 1
Si1 0.1511 0.8489 0.2500 1
Si2 0.4047 0.5953 0.0746 1
Si3 0.4047 0.5953 0.4254 1
Si4 0.5953 0.4047 0.5746 1
Si5 0.5953 0.4047 0.9254 1
Si6 0.8489 0.1511 0.7500 1
Tc1 0.0000 0.0000 0.0000 1
Tc2 0.0000 0.0000 0.5000 1
Tc3 0.2069 0.7931 0.0391 1
Tc4 0.2069 0.7931 0.4609 1
Tc5 0.4086 0.5914 0.6467 1
Tc6 0.4086 0.5914 0.8533 1
Tc7 0.5914 0.4086 0.1467 1
Tc8 0.5914 0.4086 0.3533 1
Tc9 0.7931 0.2069 0.5391 1
Tc10 0.7931 0.2069 0.9609 1
```


2.
Dy5SiTe2: computed powder XRD pattern (Cu Kα (weighted mean of Kα1 and Kα2)), based on DFT lattice parameters and positions (GGA-PBE).

Most intense lines, 10° ≤ 2θ ≤ 90°, sorted by position:
2θ (°)	Rel. int.
24.3	59
27.4	72
30.4	100
33.1	70
35.2	37
39.3	50

Cell and atoms:
```
data_Dy5SiTe2
_chemical_formula_sum 'Dy10 Si2 Te4'
_space_group_name_H-M_alt 'P 1'
_space_group_IT_number 1
_cell_length_a 6.7958
_cell_length_b 6.7958
_cell_length_c 13.7515
_cell_angle_alpha 90.00
_cell_angle_beta 90.00
_cell_angle_gamma 128.64
loop_
_space_group_symop_operation_xyz
'x,y,z'
loop_
_atom_site_label
_atom_site_fract_x
_atom_site_fract_y
_atom_site_fract_z
_atom_site_occupancy
Dy1 0.0538 0.9462 0.6243 1
Dy2 0.0538 0.9462 0.8757 1
Dy3 0.3153 0.6847 0.2500 1
Dy4 0.3817 0.6183 0.5988 1
Dy5 0.3817 0.6183 0.9012 1
Dy6 0.6183 0.3817 0.0988 1
Dy7 0.6183 0.3817 0.4012 1
Dy8 0.6847 0.3153 0.7500 1
Dy9 0.9462 0.0538 0.1243 1
Dy10 0.9462 0.0538 0.3757 1
Si1 0.2301 0.7699 0.7500 1
Si2 0.7699 0.2301 0.2500 1
Te1 0.1882 0.8118 0.0585 1
Te2 0.1882 0.8118 0.4415 1
Te3 0.8118 0.1882 0.5585 1
Te4 0.8118 0.1882 0.9415 1
```


3.
DyThSi3: computed powder XRD pattern (Cu Kα (weighted mean of Kα1 and Kα2)), based on DFT lattice parameters and positions (GGA-PBE).

Most intense lines, 10° ≤ 2θ ≤ 90°, sorted by position:
2θ (°)	Rel. int.
21.3	37
26.5	67
29.1	25
32.6	100
33.1	57
57.2	25

Cell and atoms:
```
data_DyThSi3
_chemical_formula_sum 'Dy2 Th2 Si6'
_space_group_name_H-M_alt 'P 1'
_space_group_IT_number 1
_cell_length_a 12.4713
_cell_length_b 12.4713
_cell_length_c 4.0128
_cell_angle_alpha 90.00
_cell_angle_beta 90.00
_cell_angle_gamma 160.43
loop_
_space_group_symop_operation_xyz
'x,y,z'
loop_
_atom_site_label
_atom_site_fract_x
_atom_site_fract_y
_atom_site_fract_z
_atom_site_occupancy
Dy1 0.2022 0.7978 0.7500 1
Dy2 0.7978 0.2022 0.2500 1
Th1 0.0709 0.9291 0.2500 1
Th2 0.9291 0.0709 0.7500 1
Si1 0.3220 0.6780 0.7500 1
Si2 0.3798 0.6202 0.2500 1
Si3 0.4755 0.5245 0.2500 1
Si4 0.5245 0.4755 0.7500 1
Si5 0.6202 0.3798 0.7500 1
Si6 0.6780 0.3220 0.2500 1
```


4.
Dy2ThSi4: computed powder XRD pattern (Cu Kα (weighted mean of Kα1 and Kα2)), based on DFT lattice parameters and positions (GGA-PBE).

Most intense lines, 10° ≤ 2θ ≤ 90°, sorted by position:
2θ (°)	Rel. int.
21.4	40
27.3	67
30.6	29
32.6	100
33.0	55
52.4	34

Cell and atoms:
```
data_Dy2ThSi4
_chemical_formula_sum 'Dy4 Th2 Si8'
_space_group_name_H-M_alt 'P 1'
_space_group_IT_number 1
_cell_length_a 3.9363
_cell_length_b 4.2743
_cell_length_c 17.5331
_cell_angle_alpha 90.00
_cell_angle_beta 90.00
_cell_angle_gamma 90.00
loop_
_space_group_symop_operation_xyz
'x,y,z'
loop_
_atom_site_label
_atom_site_fract_x
_atom_site_fract_y
_atom_site_fract_z
_atom_site_occupancy
Dy1 0.0000 0.0000 0.1826 1
Dy2 0.0000 0.0000 0.8174 1
Dy3 0.5000 0.5000 0.3174 1
Dy4 0.5000 0.5000 0.6826 1
Th1 0.0000 0.5000 0.5000 1
Th2 0.5000 0.0000 0.0000 1
Si1 0.0000 0.0000 0.3500 1
Si2 0.0000 0.0000 0.6500 1
Si3 0.0000 0.5000 0.0669 1
Si4 0.0000 0.5000 0.9331 1
Si5 0.5000 0.0000 0.4331 1
Si6 0.5000 0.0000 0.5669 1
Si7 0.5000 0.5000 0.1500 1
Si8 0.5000 0.5000 0.8500 1
```


5.
DyTi2Si4: computed powder XRD pattern (Cu Kα (weighted mean of Kα1 and Kα2)), based on DFT lattice parameters and positions (GGA-PBE).

Most intense lines, 10° ≤ 2θ ≤ 90°, sorted by position:
2θ (°)	Rel. int.
10.8	52
24.2	37
28.8	49
35.4	100
36.4	49
48.2	34

Cell and atoms:
```
data_DyTi2Si4
_chemical_formula_sum 'Dy2 Ti4 Si8'
_space_group_name_H-M_alt 'P 1'
_space_group_IT_number 1
_cell_length_a 3.7689
_cell_length_b 3.7757
_cell_length_c 16.3396
_cell_angle_alpha 90.00
_cell_angle_beta 90.00
_cell_angle_gamma 90.00
loop_
_space_group_symop_operation_xyz
'x,y,z'
loop_
_atom_site_label
_atom_site_fract_x
_atom_site_fract_y
_atom_site_fract_z
_atom_site_occupancy
Dy1 0.0000 0.0000 0.0000 1
Dy2 0.5000 0.5000 0.5000 1
Ti1 0.0000 0.5000 0.1845 1
Ti2 0.0000 0.5000 0.8155 1
Ti3 0.5000 0.0000 0.3155 1
Ti4 0.5000 0.0000 0.6845 1
Si1 0.0000 0.0000 0.4277 1
Si2 0.0000 0.0000 0.5723 1
Si3 0.0000 0.5000 0.3392 1
Si4 0.0000 0.5000 0.6608 1
Si5 0.5000 0.0000 0.1608 1
Si6 0.5000 0.0000 0.8392 1
Si7 0.5000 0.5000 0.0723 1
Si8 0.5000 0.5000 0.9277 1
```


6.
Dy5Tl2Si: computed powder XRD pattern (Cu Kα (weighted mean of Kα1 and Kα2)), based on DFT lattice parameters and positions (GGA-PBE).

Most intense lines, 10° ≤ 2θ ≤ 90°, sorted by position:
2θ (°)	Rel. int.
30.7	59
31.1	33
32.2	100
33.4	25
33.7	53
36.4	46

Cell and atoms:
```
data_Dy5Tl2Si
_chemical_formula_sum 'Dy10 Tl4 Si2'
_space_group_name_H-M_alt 'P 1'
_space_group_IT_number 1
_cell_length_a 6.9669
_cell_length_b 12.6470
_cell_length_c 4.9416
_cell_angle_alpha 90.00
_cell_angle_beta 90.00
_cell_angle_gamma 90.00
loop_
_space_group_symop_operation_xyz
'x,y,z'
loop_
_atom_site_label
_atom_site_fract_x
_atom_site_fract_y
_atom_site_fract_z
_atom_site_occupancy
Dy1 0.0000 0.0000 0.0000 1
Dy2 0.1377 0.2827 0.0000 1
Dy3 0.1698 0.5864 0.5000 1
Dy4 0.3302 0.0864 0.5000 1
Dy5 0.3623 0.7827 0.0000 1
Dy6 0.5000 0.5000 0.0000 1
Dy7 0.6377 0.2173 0.0000 1
Dy8 0.6698 0.9136 0.5000 1
Dy9 0.8302 0.4136 0.5000 1
Dy10 0.8623 0.7173 0.0000 1
Tl1 0.1023 0.8396 0.5000 1
Tl2 0.3977 0.3396 0.5000 1
Tl3 0.6023 0.6604 0.5000 1
Tl4 0.8977 0.1604 0.5000 1
Si1 0.0000 0.5000 0.0000 1
Si2 0.5000 0.0000 0.0000 1
```


7.
Dy3Tm3Si4: computed powder XRD pattern (Cu Kα (weighted mean of Kα1 and Kα2)), based on DFT lattice parameters and positions (GGA-PBE).

Most intense lines, 10° ≤ 2θ ≤ 90°, sorted by position:
2θ (°)	Rel. int.
26.9	44
27.2	46
32.2	100
34.5	91
38.4	52
59.0	30

Cell and atoms:
```
data_Dy3Tm3Si4
_chemical_formula_sum 'Dy3 Tm3 Si4'
_space_group_name_H-M_alt 'P 1'
_space_group_IT_number 1
_cell_length_a 4.2042
_cell_length_b 7.4069
_cell_length_c 7.4069
_cell_angle_alpha 90.13
_cell_angle_beta 90.00
_cell_angle_gamma 90.00
loop_
_space_group_symop_operation_xyz
'x,y,z'
loop_
_atom_site_label
_atom_site_fract_x
_atom_site_fract_y
_atom_site_fract_z
_atom_site_occupancy
Dy1 0.0000 0.0000 0.0000 1
Dy2 0.0000 0.4987 0.8511 1
Dy3 0.0000 0.8511 0.4987 1
Tm1 0.0000 0.3513 0.3513 1
Tm2 0.5000 0.1753 0.6756 1
Tm3 0.5000 0.6756 0.1753 1
Si1 0.5000 0.0597 0.2938 1
Si2 0.5000 0.2938 0.0597 1
Si3 0.5000 0.5560 0.5560 1
Si4 0.5000 0.7922 0.7922 1
```


8.
DyYSi: computed powder XRD pattern (Cu Kα (weighted mean of Kα1 and Kα2)), based on DFT lattice parameters and positions (GGA-PBE).

Most intense lines, 10° ≤ 2θ ≤ 90°, sorted by position:
2θ (°)	Rel. int.
24.1	39
29.6	37
31.4	77
32.5	100
36.7	30
43.5	23

Cell and atoms:
```
data_DyYSi
_chemical_formula_sum 'Dy4 Y4 Si4'
_space_group_name_H-M_alt 'P 1'
_space_group_IT_number 1
_cell_length_a 11.1217
_cell_length_b 4.1622
_cell_length_c 8.0742
_cell_angle_alpha 90.00
_cell_angle_beta 125.20
_cell_angle_gamma 90.00
loop_
_space_group_symop_operation_xyz
'x,y,z'
loop_
_atom_site_label
_atom_site_fract_x
_atom_site_fract_y
_atom_site_fract_z
_atom_site_occupancy
Dy1 0.1735 0.0000 0.0757 1
Dy2 0.3265 0.5000 0.9243 1
Dy3 0.6735 0.5000 0.0757 1
Dy4 0.8265 0.0000 0.9243 1
Y1 0.0844 0.5000 0.3610 1
Y2 0.4156 0.0000 0.6390 1
Y3 0.5844 0.0000 0.3610 1
Y4 0.9156 0.5000 0.6390 1
Si1 0.1226 0.0000 0.6578 1
Si2 0.3774 0.5000 0.3422 1
Si3 0.6226 0.5000 0.6578 1
Si4 0.8774 0.0000 0.3422 1
```